No. 1
KAlTc2O8: theoretical X-ray powder pattern (λ = 1.5418 Å (Cu Kα)), based on a crystal structure in Alexandria, relaxed with GGA-PBE.
Peak positions follow from Bragg's law for the DFT cell and can differ from measured ones.

Structural model:
Unit cell a=5.318 b=5.318 c=7.851 alpha=92.93 beta=92.93 gamma=63.97
Fractional coordinates of all 12 atoms:
K 0.000 0.000 0.000
Al 0.000 0.000 0.500
Tc 0.364 0.364 0.709
Tc 0.636 0.636 0.291
O 0.204 0.204 0.563
O 0.207 0.736 0.672
O 0.264 0.793 0.328
O 0.313 0.313 0.920
O 0.687 0.687 0.080
O 0.736 0.207 0.672
O 0.793 0.264 0.328
O 0.796 0.796 0.437

The 6 most intense peaks (10° ≤ 2θ ≤ 80°), low angle first:
d/Å  I (rel.)
4.138  40
4.017  100
3.806  35
3.078  50
2.817  23
2.649  32


No. 2
SmEr4Mg: theoretical X-ray powder pattern (λ = 1.5418 Å (Cu Kα)), based on a crystal structure in Alexandria, relaxed with GGA-PBE.
Peak positions follow from Bragg's law for the DFT cell and can differ from measured ones.

Structural model:
Unit cell a=8.252 b=8.252 c=6.486 alpha=109.71 beta=109.71 gamma=102.75
Fractional coordinates of all 12 atoms:
Sm 0.160 0.840 0.750
Sm 0.840 0.160 0.250
Er 0.143 0.524 0.260
Er 0.268 0.413 0.768
Er 0.413 0.268 0.268
Er 0.476 0.857 0.240
Er 0.524 0.143 0.760
Er 0.587 0.732 0.732
Er 0.732 0.587 0.232
Er 0.857 0.476 0.740
Mg 0.092 0.908 0.250
Mg 0.908 0.092 0.750

The 6 most intense peaks (10° ≤ 2θ ≤ 80°), low angle first:
d/Å  I (rel.)
7.194  21
2.851  47
2.820  45
2.776  100
2.729  53
2.683  34


No. 3
Tb3HoBi2: theoretical X-ray powder pattern (λ = 1.5418 Å (Cu Kα)), based on a crystal structure in Alexandria, relaxed with GGA-PBE.
Peak positions follow from Bragg's law for the DFT cell and can differ from measured ones.

Structural model:
Unit cell a=4.554 b=4.554 c=8.654 alpha=90.00 beta=90.00 gamma=90.00
Fractional coordinates of all 6 atoms:
Tb 0.000 0.000 0.000
Tb 0.000 0.500 0.653
Tb 0.500 0.000 0.347
Ho 0.500 0.500 0.000
Bi 0.000 0.500 0.283
Bi 0.500 0.000 0.717

The 6 most intense peaks (10° ≤ 2θ ≤ 80°), low angle first:
d/Å  I (rel.)
3.018  80
2.885  39
2.583  100
2.277  59
1.787  39
1.366  28


No. 4
AcBi2Pt2Au: theoretical X-ray powder pattern (λ = 1.5418 Å (Cu Kα)), based on a crystal structure in Alexandria, relaxed with GGA-PBE.
Peak positions follow from Bragg's law for the DFT cell and can differ from measured ones.

Structural model:
Unit cell a=8.389 b=8.389 c=8.389 alpha=144.24 beta=144.24 gamma=51.46
Fractional coordinates of all 6 atoms:
Ac 0.000 0.000 0.000
Bi 0.250 0.750 0.500
Bi 0.750 0.250 0.500
Pt 0.183 0.183 0.000
Pt 0.817 0.817 0.000
Au 0.500 0.500 0.000

The 6 most intense peaks (10° ≤ 2θ ≤ 80°), low angle first:
d/Å  I (rel.)
3.778  56
3.281  85
2.575  100
2.128  50
2.072  96
1.368  52